The following is a calculated powder diffractogram of LiCa2MoO4. It was derived from a GGA+U-relaxed structure, using a wavelength of 1.5418 Å.
No peak broadening, texture or thermal motion is included.

The 8 most intense peaks (2θ = 10–90°), sorted by position:
- d = 5.336 Å, I 65
- d = 4.543 Å, I 40
- d = 2.812 Å, I 22
- d = 2.687 Å, I 35
- d = 2.327 Å, I 100
- d = 2.272 Å, I 46
- d = 1.637 Å, I 29
- d = 1.615 Å, I 28

Crystal structure
Cell: 5.5393 3.3319 5.6372 Å, 90.00 108.80 90.00°
Space group P2/m (No. 10)
Asymmetric unit:
1 Li 0.0000 0.0000 0.0000 [1 per cell]
2 Ca 0.5000 0.0000 0.5000 [1 per cell]
3 Ca 0.5000 0.5000 0.0000 [1 per cell]
4 Mo 0.0000 0.5000 0.5000 [1 per cell]
5 O 0.2235 0.0000 0.7358 [2 per cell]
6 O 0.2421 0.5000 0.2586 [2 per cell]